The following is a computed powder X-ray diffraction pattern of Pa3Ge2Pd5. It was derived from a DFT-relaxed cell (GGA-PBE, Alexandria), using Cu Ka.
Neutral-atom scattering factors, no anomalous dispersion.

Peak list (10 most intense, 2θ = 15–90°, sorted by position)
2theta  d (Å)  I/Imax
22.59  3.935  54
30.76  2.906  23
33.38  2.685  21
34.22  2.621  100
34.94  2.568  91
40.54  2.225  22
42.51  2.126  31
43.09  2.099  58
45.05  2.013  80
64.08  1.453  36

Structure:
```
Pa3Ge2Pd5
1.0
-5.6242 6.3014 2.8816
5.6242 -6.3014 2.8816
5.6242 6.3014 -2.8816
Pa Ge Pd
6 4 10
Direct
0.1923 0.6167 0.8091
0.2500 0.2500 0.0000
0.3077 0.1167 0.4244
0.6923 0.8833 0.5756
0.7500 0.7500 0.0000
0.8077 0.3833 0.1909
0.1677 0.8816 0.0493
0.3323 0.3816 0.7139
0.6677 0.6184 0.2861
0.8323 0.1184 0.9507
0.1431 0.3582 0.5014
0.2500 0.0138 0.7638
0.2500 0.4862 0.2362
0.2500 0.7500 0.5000
0.3569 0.8582 0.2151
0.6431 0.1418 0.7849
0.7500 0.2500 0.5000
0.7500 0.5138 0.7638
0.7500 0.9862 0.2362
0.8569 0.6418 0.4986
```